No. 1
K2Ge2Pb2O7: simulated X-ray diffraction stick pattern (Cu Kα (λ = 1.5418 Å)), based on a crystal structure in Alexandria, relaxed with PBE.

Most intense lines, 2θ from 10° to 90°, in order of falling intensity:
d = 3.179 Å, 2θ 28.1, intensity 100.0, (1 0 2)
d = 2.928 Å, 2θ 30.5, intensity 81.5, (1 1 0)
d = 4.307 Å, 2θ 20.6, intensity 64.8, (1 0 1)
d = 8.159 Å, 2θ 10.8, intensity 41.1, (0 0 1)
d = 2.153 Å, 2θ 42.0, intensity 37.5, (0 2 2)
d = 1.735 Å, 2θ 52.8, intensity 34.7, (3 -1 2)
d = 2.756 Å, 2θ 32.5, intensity 28.5, (2 -1 1)
d = 1.993 Å, 2θ 45.5, intensity 19.0, (2 -1 3)

Atomic structure:
```
data_K2Ge2Pb2O7
_cell_length_a 5.8552
_cell_length_b 5.8552
_cell_length_c 8.1592
_cell_angle_alpha 90.00
_cell_angle_beta 90.00
_cell_angle_gamma 120.00
_space_group_name_H-M_alt 'P -3'
_space_group_IT_number 147
loop_
_space_group_symop_operation_xyz
'x,y,z'
'-x,-y,-z'
'-y,x-y,z'
'y,-x+y,-z'
'-x+y,-x,z'
'x-y,x,-z'
loop_
_atom_site_label
_atom_site_type_symbol
_atom_site_fract_x
_atom_site_fract_y
_atom_site_fract_z
K1 K 0.3333 0.6667 0.0722
Ge1 Ge 0.0000 0.0000 0.2782
Pb1 Pb 0.3333 0.6667 0.6202
O1 O 0.0000 0.0000 0.5000
O2 O 0.0995 0.3242 0.7879
```


No. 2
Pa8H: simulated X-ray diffraction stick pattern (Cu Kα (λ = 1.5418 Å)), based on a crystal structure in Alexandria, relaxed with PBE.

Most intense lines, 2θ from 10° to 90°, in order of falling intensity:
d = 2.488 Å, 2θ 36.1, intensity 100.0, (2 0 1)
d = 2.873 Å, 2θ 31.1, intensity 32.4, (0 0 2)
d = 1.574 Å, 2θ 58.7, intensity 24.9, (2 0 3)
d = 1.394 Å, 2θ 67.2, intensity 22.6, (2 2 2)
d = 2.760 Å, 2θ 32.4, intensity 22.0, (2 0 0)
d = 1.594 Å, 2θ 57.9, intensity 17.7, (2 2 0)
d = 1.990 Å, 2θ 45.6, intensity 17.6, (0 2 2)
d = 1.342 Å, 2θ 70.1, intensity 15.1, (0 4 1)

Atomic structure:
```
data_Pa8H
_cell_length_a 6.3742
_cell_length_b 6.3742
_cell_length_c 5.7465
_cell_angle_alpha 90.00
_cell_angle_beta 90.00
_cell_angle_gamma 120.00
_space_group_name_H-M_alt 'P -3 m 1'
_space_group_IT_number 164
_space_group_name_Hall '-P 3 2"'
loop_
_atom_site_label
_atom_site_type_symbol
_atom_site_fract_x
_atom_site_fract_y
_atom_site_fract_z
Pa1 Pa 0.1681 0.3362 0.2431
Pa2 Pa 0.3333 0.6667 0.7385
H1 H 0.0000 0.0000 0.5000
```


No. 3
LaNd4Au5: simulated X-ray diffraction stick pattern (Cu Kα (λ = 1.5418 Å)), based on a crystal structure in Alexandria, relaxed with PBE.

Most intense lines, 2θ from 10° to 90°, in order of falling intensity:
d = 2.646 Å, 2θ 33.9, intensity 100.0, (1 0 5)
d = 2.622 Å, 2θ 34.2, intensity 49.1, (1 1 0)
d = 1.518 Å, 2θ 61.0, intensity 37.1, (2 1 5)
d = 1.532 Å, 2θ 60.4, intensity 18.8, (1 1 10)
d = 1.854 Å, 2θ 49.1, intensity 17.8, (2 0 0)
d = 1.323 Å, 2θ 71.3, intensity 11.6, (2 0 10)
d = 1.888 Å, 2θ 48.2, intensity 9.2, (0 0 10)
d = 1.173 Å, 2θ 82.2, intensity 8.2, (3 1 0)

Atomic structure:
```
data_LaNd4Au5
_cell_length_a 3.7080
_cell_length_b 3.7080
_cell_length_c 18.8842
_cell_angle_alpha 90.00
_cell_angle_beta 90.00
_cell_angle_gamma 90.00
_space_group_name_H-M_alt 'P 4/m m m'
_space_group_IT_number 123
_space_group_name_Hall '-P 4 2'
loop_
_atom_site_label
_atom_site_type_symbol
_atom_site_fract_x
_atom_site_fract_y
_atom_site_fract_z
La1 La 0.0000 0.0000 0.0000
Nd1 Nd 0.0000 0.0000 0.2021
Nd2 Nd 0.0000 0.0000 0.4007
Au1 Au 0.5000 0.5000 0.1046
Au2 Au 0.5000 0.5000 0.3014
Au3 Au 0.5000 0.5000 0.5000
```